[1]
This entry pairs a crystal structure of CdBi2Pb2 with its calculated powder X-ray diffraction pattern. Radiation: Cu Kα X-rays. Structure: a structure optimized by DFT (PBE).

Crystal structure
```
data_CdBi2Pb2
_chemical_formula_sum 'Cd2 Bi4 Pb4'
_space_group_name_H-M_alt 'P 4/m b m'
_space_group_IT_number 127
_space_group_name_Hall '-P 4 2ab'
_cell_length_a 8.9743
_cell_length_b 8.9743
_cell_length_c 4.0965
_cell_angle_alpha 90.00
_cell_angle_beta 90.00
_cell_angle_gamma 90.00
loop_
_atom_site_label
_atom_site_fract_x
_atom_site_fract_y
_atom_site_fract_z
Cd1 0.0000 0.0000 0.0000
Bi1 0.1412 0.3588 0.5000
Pb1 0.1503 0.6503 0.0000
```

Principal peaks in the range 2θ = 5–70°, most intense first:
31.20 deg, I = 100, (2 1 1); 31.52 deg, I = 41, (3 1 0); 59.92 deg, I = 25, (5 2 1); 55.31 deg, I = 17, (3 1 2); 13.96 deg, I = 14, (1 1 0); 40.19 deg, I = 12, (4 0 0); 44.22 deg, I = 11, (0 0 2); 42.50 deg, I = 10, (3 2 1); 42.75 deg, I = 9, (3 3 0); 47.29 deg, I = 9, (4 1 1)

***

[2]
This entry pairs a crystal structure of Cd3BiPb3 with its calculated powder X-ray diffraction pattern. Radiation: Cu Kα X-rays. Structure: a structure optimized by DFT (PBE).

Crystal structure
```
data_Cd3BiPb3
_chemical_formula_sum 'Cd18 Bi6 Pb18'
_space_group_name_H-M_alt 'R -3 m'
_space_group_IT_number 166
_space_group_name_Hall '-R 3 2"'
_cell_length_a 7.1188
_cell_length_b 7.1188
_cell_length_c 28.6463
_cell_angle_alpha 90.00
_cell_angle_beta 90.00
_cell_angle_gamma 120.00
loop_
_atom_site_label
_atom_site_fract_x
_atom_site_fract_y
_atom_site_fract_z
Cd1 0.0479 0.5239 0.3623
Bi1 0.0000 0.0000 0.2061
Pb1 0.0072 0.5036 0.2196
```

Principal peaks in the range 2θ = 5–70°, most intense first:
36.49 deg, I = 100, (0 2 7); 29.64 deg, I = 91, (2 0 2); 33.00 deg, I = 73, (2 0 5); 51.34 deg, I = 37, (2 2 0); 28.03 deg, I = 28, (0 0 9); 53.77 deg, I = 27, (2 0 14); 59.51 deg, I = 21, (2 2 9); 9.26 deg, I = 21, (0 0 3); 65.41 deg, I = 18, (2 2 12); 37.68 deg, I = 17, (0 0 12)

***

[3]
This entry pairs a crystal structure of Cd2BiPb6 with its calculated powder X-ray diffraction pattern. Radiation: Cu Kα X-rays. Structure: a structure optimized by DFT (PBE).

Crystal structure
```
data_Cd2BiPb6
_chemical_formula_sum 'Cd8 Bi4 Pb24'
_space_group_name_H-M_alt 'C 1 2/c 1'
_space_group_IT_number 15
_cell_length_a 14.5303
_cell_length_b 11.9127
_cell_length_c 7.0340
_cell_angle_alpha 90.00
_cell_angle_beta 113.20
_cell_angle_gamma 90.00
loop_
_space_group_symop_operation_xyz
'x,y,z'
'-x,-y,-z'
'-x,y,-z+1/2'
'x,-y,z+1/2'
'x+1/2,y+1/2,z'
'-x+1/2,-y+1/2,-z'
'-x+1/2,y+1/2,-z+1/2'
'x+1/2,-y+1/2,z+1/2'
loop_
_atom_site_label
_atom_site_fract_x
_atom_site_fract_y
_atom_site_fract_z
Cd1 0.1663 0.0258 0.3518
Bi1 0.0000 0.3788 0.2500
Pb1 0.0081 0.1507 0.5241
Pb2 0.1376 0.4009 0.7615
Pb3 0.2247 0.3177 0.2634
```

Principal peaks in the range 2θ = 5–70°, most intense first:
28.98 deg, I = 100, (4 2 -1); 34.32 deg, I = 79, (1 3 -2); 30.16 deg, I = 66, (3 3 0); 29.64 deg, I = 61, (2 2 -2); 37.99 deg, I = 61, (4 2 1); 33.12 deg, I = 59, (0 4 1); 31.84 deg, I = 53, (1 1 2); 29.99 deg, I = 51, (0 4 0); 26.74 deg, I = 50, (1 1 -2); 30.70 deg, I = 38, (4 2 0)

***

[4]
This entry pairs a crystal structure of CdBi4Pb8 with its calculated powder X-ray diffraction pattern. Radiation: Cu Kα X-rays. Structure: a structure optimized by DFT (PBE).

Crystal structure
```
data_CdBi4Pb8
_chemical_formula_sum 'Cd1 Bi4 Pb8'
_space_group_name_H-M_alt 'P 1 m 1'
_space_group_IT_number 6
_cell_length_a 5.6379
_cell_length_b 3.4804
_cell_length_c 21.4748
_cell_angle_alpha 90.00
_cell_angle_beta 90.39
_cell_angle_gamma 90.00
loop_
_space_group_symop_operation_xyz
'x,y,z'
'x,-y,z'
loop_
_atom_site_label
_atom_site_fract_x
_atom_site_fract_y
_atom_site_fract_z
Cd1 0.0000 0.0000 0.0000
Bi1 0.0027 0.0000 0.7312
Bi2 0.4953 0.5000 0.0641
Bi3 0.4991 0.0000 0.5383
Bi4 0.9964 0.5000 0.2874
Pb1 0.9997 0.5000 0.5837
Pb2 0.4956 0.0000 0.2345
Pb3 0.4983 0.5000 0.3800
Pb4 0.4995 0.0000 0.9235
Pb5 0.5013 0.5000 0.6808
Pb6 0.9931 0.0000 0.1421
Pb7 0.9977 0.5000 0.8646
Pb8 0.9987 0.0000 0.4380
```

Principal peaks in the range 2θ = 5–70°, most intense first:
32.73 deg, I = 100, (1 1 3); 31.74 deg, I = 46, (2 0 0); 33.15 deg, I = 34, (1 0 -7); 33.35 deg, I = 27, (1 0 7); 30.61 deg, I = 21, (0 1 4); 49.90 deg, I = 18, (0 1 10); 62.74 deg, I = 16, (2 2 0); 57.25 deg, I = 12, (3 1 3); 52.59 deg, I = 12, (0 2 0); 63.61 deg, I = 11, (1 2 -7)

***

[5]
This entry pairs a crystal structure of Cd2Bi2Pb7 with its calculated powder X-ray diffraction pattern. Radiation: Cu Kα X-rays. Structure: a structure optimized by DFT (PBE).

Crystal structure
```
data_Cd2Bi2Pb7
_chemical_formula_sum 'Cd4 Bi4 Pb14'
_space_group_name_H-M_alt 'C 1 2/m 1'
_space_group_IT_number 12
_cell_length_a 9.6617
_cell_length_b 9.8435
_cell_length_c 8.0463
_cell_angle_alpha 90.00
_cell_angle_beta 107.13
_cell_angle_gamma 90.00
loop_
_space_group_symop_operation_xyz
'x,y,z'
'-x,-y,-z'
'-x,y,-z'
'x,-y,z'
'x+1/2,y+1/2,z'
'-x+1/2,-y+1/2,-z'
'-x+1/2,y+1/2,-z'
'x+1/2,-y+1/2,z'
loop_
_atom_site_label
_atom_site_fract_x
_atom_site_fract_y
_atom_site_fract_z
Cd1 0.0983 0.0000 0.1801
Bi1 0.0000 0.2829 0.0000
Pb1 0.0000 0.0000 0.5000
Pb2 0.1216 0.5000 0.3615
Pb3 0.1672 0.2713 0.6979
```

Principal peaks in the range 2θ = 5–70°, most intense first:
31.20 deg, I = 100, (2 2 1); 31.33 deg, I = 41, (2 2 -2); 36.51 deg, I = 33, (0 4 0); 25.41 deg, I = 29, (2 0 -2); 34.67 deg, I = 24, (1 1 -3); 39.65 deg, I = 19, (0 2 3); 42.02 deg, I = 18, (3 3 -2); 21.44 deg, I = 18, (0 2 1); 37.23 deg, I = 17, (4 0 -1); 41.65 deg, I = 15, (4 2 -1)

***

[6]
This entry pairs a crystal structure of CdBi6Pb12 with its calculated powder X-ray diffraction pattern. Radiation: Cu Kα X-rays. Structure: a structure optimized by DFT (PBE).

Crystal structure
```
data_CdBi6Pb12
_chemical_formula_sum 'Cd3 Bi18 Pb36'
_space_group_name_H-M_alt 'R -3'
_space_group_IT_number 148
_space_group_name_Hall '-R 3'
_cell_length_a 15.6519
_cell_length_b 15.6519
_cell_length_c 8.5207
_cell_angle_alpha 90.00
_cell_angle_beta 90.00
_cell_angle_gamma 120.00
loop_
_atom_site_label
_atom_site_fract_x
_atom_site_fract_y
_atom_site_fract_z
Cd1 0.0000 0.0000 0.0000
Bi1 0.0247 0.7542 0.3430
Pb1 0.0140 0.8753 0.6707
Pb2 0.0659 0.5087 0.6781
```

Principal peaks in the range 2θ = 5–70°, most intense first:
30.60 deg, I = 100, (5 -2 1); 35.75 deg, I = 66, (2 3 2); 31.50 deg, I = 31, (0 0 3); 61.06 deg, I = 27, (7 1 3); 50.86 deg, I = 24, (7 1 0); 52.04 deg, I = 22, (5 -2 4); 60.53 deg, I = 14, (4 6 1); 62.11 deg, I = 13, (2 3 5); 63.71 deg, I = 12, (10 -4 2); 65.76 deg, I = 4, (0 0 6)

***

[7]
This entry pairs a crystal structure of Cd2Bi2Pb15 with its calculated powder X-ray diffraction pattern. Radiation: Cu Kα X-rays. Structure: a structure optimized by DFT (PBE).

Crystal structure
```
data_Cd2Bi2Pb15
_chemical_formula_sum 'Cd6 Bi6 Pb45'
_space_group_name_H-M_alt 'R -3 m'
_space_group_IT_number 166
_space_group_name_Hall '-R 3 2"'
_cell_length_a 11.4743
_cell_length_b 11.4743
_cell_length_c 17.5478
_cell_angle_alpha 90.00
_cell_angle_beta 90.00
_cell_angle_gamma 120.00
loop_
_atom_site_label
_atom_site_fract_x
_atom_site_fract_y
_atom_site_fract_z
Cd1 0.0000 0.0000 0.0788
Bi1 0.0000 0.0000 0.2466
Pb1 0.0000 0.2948 0.0000
Pb2 0.0000 0.5000 0.5000
Pb3 0.0057 0.5028 0.8519
```

Principal peaks in the range 2θ = 5–70°, most intense first:
34.83 deg, I = 100, (2 2 3); 31.03 deg, I = 66, (3 0 3); 31.18 deg, I = 65, (2 2 0); 34.42 deg, I = 59, (1 1 6); 55.49 deg, I = 31, (6 0 0); 52.54 deg, I = 27, (1 4 6); 10.23 deg, I = 24, (1 0 1); 26.92 deg, I = 22, (3 0 0); 30.57 deg, I = 21, (0 0 6); 15.44 deg, I = 19, (1 1 0)

***

[8]
This entry pairs a crystal structure of Cd4Bi4Pb with its calculated powder X-ray diffraction pattern. Radiation: Cu Kα X-rays. Structure: a structure optimized by DFT (PBE).

Crystal structure
```
data_Cd4Bi4Pb
_chemical_formula_sum 'Cd8 Bi8 Pb2'
_space_group_name_H-M_alt 'P 42/n'
_space_group_IT_number 86
_cell_length_a 9.4991
_cell_length_b 9.4991
_cell_length_c 5.8090
_cell_angle_alpha 90.00
_cell_angle_beta 90.00
_cell_angle_gamma 90.00
loop_
_space_group_symop_operation_xyz
'x,y,z'
'-x,-y,-z'
'-y,x+1/2,z+1/2'
'y,-x+1/2,-z+1/2'
'-x+1/2,-y+1/2,z'
'x+1/2,y+1/2,-z'
'y+1/2,-x,z+1/2'
'-y+1/2,x,-z+1/2'
loop_
_atom_site_label
_atom_site_fract_x
_atom_site_fract_y
_atom_site_fract_z
Cd1 0.0927 0.6995 0.2446
Bi1 0.0322 0.3617 0.2537
Pb1 0.2500 0.2500 0.7500
```

Principal peaks in the range 2θ = 5–70°, most intense first:
32.20 deg, I = 100, (3 0 1); 37.48 deg, I = 63, (3 2 1); 29.74 deg, I = 62, (1 3 0); 30.78 deg, I = 61, (0 0 2); 43.33 deg, I = 45, (1 3 2); 25.98 deg, I = 32, (2 1 1); 61.49 deg, I = 29, (1 6 1); 55.64 deg, I = 21, (3 0 3); 64.87 deg, I = 20, (4 5 1); 59.22 deg, I = 17, (3 2 3)

***

[9]
This entry pairs a crystal structure of CdBiPd4 with its calculated powder X-ray diffraction pattern. Radiation: Cu Kα X-rays. Structure: a structure optimized by DFT (PBE).

Crystal structure
```
data_CdBiPd4
_chemical_formula_sum 'Cd4 Bi4 Pd16'
_space_group_name_H-M_alt 'C m c m'
_space_group_IT_number 63
_space_group_name_Hall '-C 2c 2'
_cell_length_a 3.1391
_cell_length_b 17.0751
_cell_length_c 8.2008
_cell_angle_alpha 90.00
_cell_angle_beta 90.00
_cell_angle_gamma 90.00
loop_
_atom_site_label
_atom_site_fract_x
_atom_site_fract_y
_atom_site_fract_z
Cd1 0.0000 0.2388 0.2500
Bi1 0.0000 0.4321 0.2500
Pd1 0.0000 0.0000 0.0000
Pd2 0.0000 0.1661 0.5385
Pd3 0.0000 0.4019 0.7500
```

Principal peaks in the range 2θ = 5–70°, most intense first:
36.43 deg, I = 100, (1 1 2); 38.51 deg, I = 86, (0 6 2); 44.21 deg, I = 46, (0 0 4); 38.97 deg, I = 41, (1 5 0); 40.55 deg, I = 34, (1 5 1); 47.19 deg, I = 18, (1 7 0); 60.35 deg, I = 18, (1 5 4); 39.13 deg, I = 16, (0 4 3); 58.83 deg, I = 16, (2 0 0); 66.63 deg, I = 12, (1 7 4)

***

[10]
This entry pairs a crystal structure of CdBi2Pd2 with its calculated powder X-ray diffraction pattern. Radiation: Cu Kα X-rays. Structure: a structure optimized by DFT (PBE).

Crystal structure
```
data_CdBi2Pd2
_chemical_formula_sum 'Cd2 Bi4 Pd4'
_space_group_name_H-M_alt 'P 1 21/m 1'
_space_group_IT_number 11
_cell_length_a 5.4602
_cell_length_b 4.4838
_cell_length_c 9.7538
_cell_angle_alpha 90.00
_cell_angle_beta 95.49
_cell_angle_gamma 90.00
loop_
_space_group_symop_operation_xyz
'x,y,z'
'-x,-y,-z'
'-x,y+1/2,-z'
'x,-y+1/2,z'
loop_
_atom_site_label
_atom_site_fract_x
_atom_site_fract_y
_atom_site_fract_z
Cd1 0.0960 0.2500 0.2871
Bi1 0.2509 0.2500 0.9718
Bi2 0.3680 0.2500 0.6211
Pd1 0.1607 0.7500 0.4716
Pd2 0.2613 0.7500 0.1521
```

Principal peaks in the range 2θ = 5–70°, most intense first:
36.86 deg, I = 100, (1 1 -3); 34.17 deg, I = 94, (0 1 3); 39.27 deg, I = 89, (1 1 3); 40.23 deg, I = 89, (0 2 0); 27.91 deg, I = 71, (1 1 1); 30.80 deg, I = 63, (1 0 -3); 25.76 deg, I = 63, (1 1 0); 36.31 deg, I = 62, (2 0 -2); 40.65 deg, I = 53, (2 1 1); 35.13 deg, I = 51, (2 0 1)

***

[11]
This entry pairs a crystal structure of CdBi5Pd5 with its calculated powder X-ray diffraction pattern. Radiation: Cu Kα X-rays. Structure: a structure optimized by DFT (PBE).

Crystal structure
```
data_CdBi5Pd5
_chemical_formula_sum 'Cd2 Bi10 Pd10'
_space_group_name_H-M_alt 'C 1 2/m 1'
_space_group_IT_number 12
_cell_length_a 11.8295
_cell_length_b 5.5687
_cell_length_c 8.8416
_cell_angle_alpha 90.00
_cell_angle_beta 110.82
_cell_angle_gamma 90.00
loop_
_space_group_symop_operation_xyz
'x,y,z'
'-x,-y,-z'
'-x,y,-z'
'x,-y,z'
'x+1/2,y+1/2,z'
'-x+1/2,-y+1/2,-z'
'-x+1/2,y+1/2,-z'
'x+1/2,-y+1/2,z'
loop_
_atom_site_label
_atom_site_fract_x
_atom_site_fract_y
_atom_site_fract_z
Cd1 0.0000 0.0000 0.0000
Bi1 0.0000 0.0000 0.5000
Bi2 0.1792 0.5000 0.3241
Bi3 0.1897 0.5000 0.8660
Pd1 0.0000 0.5000 0.0000
Pd2 0.1391 0.0000 0.8151
Pd3 0.1543 0.0000 0.3252
```

Principal peaks in the range 2θ = 5–70°, most intense first:
32.15 deg, I = 100, (0 2 0); 31.92 deg, I = 93, (4 0 -2); 31.30 deg, I = 90, (2 0 2); 45.93 deg, I = 69, (4 2 -2); 45.48 deg, I = 67, (2 2 2); 40.83 deg, I = 47, (2 0 -4); 52.89 deg, I = 44, (2 2 -4); 25.73 deg, I = 40, (1 1 -2); 29.05 deg, I = 31, (3 1 0); 60.22 deg, I = 22, (6 2 0)

***

[12]
This entry pairs a crystal structure of CdBi2Pd8 with its calculated powder X-ray diffraction pattern. Radiation: Cu Kα X-rays. Structure: a structure optimized by DFT (PBE).

Crystal structure
```
data_CdBi2Pd8
_chemical_formula_sum 'Cd2 Bi4 Pd16'
_space_group_name_H-M_alt 'I m m m'
_space_group_IT_number 71
_space_group_name_Hall '-I 2 2'
_cell_length_a 4.1007
_cell_length_b 7.9649
_cell_length_c 12.2179
_cell_angle_alpha 90.00
_cell_angle_beta 90.00
_cell_angle_gamma 90.00
loop_
_atom_site_label
_atom_site_fract_x
_atom_site_fract_y
_atom_site_fract_z
Cd1 0.0000 0.0000 0.0000
Bi1 0.0000 0.0000 0.3387
Pd1 0.0000 0.2488 0.5000
Pd2 0.0000 0.2530 0.1641
Pd3 0.0000 0.5000 0.3353
```

Principal peaks in the range 2θ = 5–70°, most intense first:
38.49 deg, I = 100, (1 2 3); 44.17 deg, I = 17, (2 0 0); 44.49 deg, I = 16, (0 0 6); 45.56 deg, I = 15, (0 4 0); 64.49 deg, I = 11, (2 0 6); 65.33 deg, I = 10, (2 4 0); 65.57 deg, I = 10, (0 4 6); 24.55 deg, I = 8, (0 1 3); 24.41 deg, I = 8, (1 1 0); 40.51 deg, I = 4, (1 3 0)

***

[13]
This entry pairs a crystal structure of CdBi3Pd4 with its calculated powder X-ray diffraction pattern. Radiation: Cu Kα X-rays. Structure: a structure optimized by DFT (PBE).

Crystal structure
```
data_CdBi3Pd4
_chemical_formula_sum 'Cd2 Bi6 Pd8'
_space_group_name_H-M_alt 'I m m 2'
_space_group_IT_number 44
_cell_length_a 5.9891
_cell_length_b 10.5927
_cell_length_c 5.5110
_cell_angle_alpha 90.00
_cell_angle_beta 90.00
_cell_angle_gamma 90.00
loop_
_space_group_symop_operation_xyz
'x,y,z'
'-x,-y,z'
'-x,y,z'
'x,-y,z'
'x+1/2,y+1/2,z+1/2'
'-x+1/2,-y+1/2,z+1/2'
'-x+1/2,y+1/2,z+1/2'
'x+1/2,-y+1/2,z+1/2'
loop_
_atom_site_label
_atom_site_fract_x
_atom_site_fract_y
_atom_site_fract_z
Cd1 0.0000 0.0000 0.0000
Bi1 0.0000 0.2052 0.4243
Bi2 0.0000 0.5000 0.6463
Pd1 0.0000 0.2692 0.9291
Pd2 0.2411 0.5000 0.0878
```

Principal peaks in the range 2θ = 5–70°, most intense first:
42.86 deg, I = 100, (2 3 1); 36.77 deg, I = 95, (0 2 2); 33.85 deg, I = 66, (0 4 0); 29.84 deg, I = 60, (2 0 0); 35.14 deg, I = 59, (2 1 1); 48.05 deg, I = 42, (2 2 2); 30.06 deg, I = 38, (0 3 1); 27.71 deg, I = 35, (1 2 1); 36.90 deg, I = 32, (1 1 2); 34.40 deg, I = 32, (2 2 0)